Computed powder diffraction line list of Zn3P2 for Cu Kα (weighted mean of Kα1 and Kα2), from a DFT-relaxed cell (GGA-PBE, OQMD).
Kinematic intensities with the Lorentz-polarization factor, no thermal factor.

Structure:
```
data_Zn3P2
_chemical_formula_sum 'Zn6 P4'
_cell_length_a 5.6880
_cell_length_b 5.6880
_cell_length_c 5.6880
_cell_angle_alpha 90.00
_cell_angle_beta 90.00
_cell_angle_gamma 90.00
_symmetry_space_group_name_H-M 'P n -3 m'
_symmetry_Int_Tables_number 224
loop_
_symmetry_equiv_pos_as_xyz
'x,y,z'
'-x,-y,-z'
'-y,x+1/2,z+1/2'
'y,-x+1/2,-z+1/2'
'-x+1/2,-y+1/2,z'
'x+1/2,y+1/2,-z'
'y+1/2,-x,z+1/2'
'-y+1/2,x,-z+1/2'
'x,-y+1/2,-z+1/2'
'-x,y+1/2,z+1/2'
'-y,-x,-z'
'y,x,z'
'-x+1/2,y,-z+1/2'
'x+1/2,-y,z+1/2'
'y+1/2,x+1/2,-z'
'-y+1/2,-x+1/2,z'
'z,x,y'
'-z,-x,-y'
'z+1/2,-y,x+1/2'
'-z+1/2,y,-x+1/2'
'z,-x+1/2,-y+1/2'
'-z,x+1/2,y+1/2'
'z+1/2,y+1/2,-x'
'-z+1/2,-y+1/2,x'
'-z+1/2,x,-y+1/2'
'z+1/2,-x,y+1/2'
'-z,-y,-x'
'z,y,x'
'-z+1/2,-x+1/2,y'
'z+1/2,x+1/2,-y'
'-z,y+1/2,x+1/2'
'z,-y+1/2,-x+1/2'
'y,z,x'
'-y,-z,-x'
'x+1/2,z+1/2,-y'
'-x+1/2,-z+1/2,y'
'-y+1/2,z,-x+1/2'
'y+1/2,-z,x+1/2'
'-x,z+1/2,y+1/2'
'x,-z+1/2,-y+1/2'
'-y+1/2,-z+1/2,x'
'y+1/2,z+1/2,-x'
'-x,-z,-y'
'x,z,y'
'y,-z+1/2,-x+1/2'
'-y,z+1/2,x+1/2'
'x+1/2,-z,y+1/2'
'-x+1/2,z,-y+1/2'
loop_
_atom_site_label
_atom_site_fract_x
_atom_site_fract_y
_atom_site_fract_z
Zn1 0.2500 0.2500 0.7500
P1 0.0000 0.0000 0.0000
```

Peak list (10 most intense, 15 to 90 degrees two-theta, in order of rising 2θ)
| hkl | Position (°2θ) | I_rel |
| --- | --- | --- |
| 1 1 0 | 22.10 | 46 |
| 1 1 1 | 27.15 | 15 |
| 2 0 0 | 31.46 | 43 |
| 2 1 1 | 38.78 | 21 |
| 2 2 0 | 45.08 | 100 |
| 2 2 2 | 56.00 | 11 |
| 3 2 1 | 60.94 | 11 |
| 4 0 0 | 65.66 | 15 |
| 4 2 0 | 74.62 | 13 |
| 4 2 2 | 83.21 | 31 |